This entry pairs a crystal structure of Y3P2PtRh9 with its computed powder diffractogram. Radiation: λ = 1.5418 Å (Cu Kα). Structure: a GGA-PBE-relaxed structure.
Intensities are scaled so that the largest is 100.

Peak list (8 most intense, 10 to 90 degrees two-theta, in order of rising 2θ)
2θ = 17.5°, 5.064 Å, rel. 22
2θ = 19.9°, 4.464 Å, rel. 28
2θ = 36.1°, 2.487 Å, rel. 20
2θ = 36.7°, 2.446 Å, rel. 62
2θ = 40.4°, 2.232 Å, rel. 100
2θ = 42.2°, 2.143 Å, rel. 25
2θ = 53.0°, 1.728 Å, rel. 17
2θ = 63.7°, 1.462 Å, rel. 27

Structure:
```
Y3P2PtRh9
1.0
5.847 0.000 0.000
-2.924 5.064 0.000
0.000 0.000 9.458
Y P Pt Rh
3 2 1 9
Direct
0.000 0.000 0.000 Y
0.333 0.667 0.611 Y
0.667 0.333 0.389 Y
0.333 0.667 0.157 P
0.667 0.333 0.843 P
0.000 0.000 0.500 Pt
0.000 0.500 0.000 Rh
0.153 0.305 0.280 Rh
0.153 0.847 0.280 Rh
0.305 0.153 0.720 Rh
0.500 0.000 0.000 Rh
0.500 0.500 0.000 Rh
0.695 0.847 0.280 Rh
0.847 0.153 0.720 Rh
0.847 0.695 0.720 Rh
```

This entry pairs a crystal structure of Sb4P3Pt7 with its computed powder diffractogram. Radiation: λ = 1.5418 Å (Cu Kα). Structure: a GGA-PBE-relaxed structure.
Intensities are scaled so that the largest is 100.

Peak list (8 most intense, 10 to 90 degrees two-theta, in order of rising 2θ)
2θ = 14.3°, 6.204 Å, rel. 100
2θ = 33.4°, 2.680 Å, rel. 95
2θ = 34.7°, 2.587 Å, rel. 44
2θ = 38.6°, 2.330 Å, rel. 36
2θ = 38.8°, 2.318 Å, rel. 45
2θ = 43.7°, 2.070 Å, rel. 34
2θ = 46.0°, 1.975 Å, rel. 35
2θ = 46.2°, 1.965 Å, rel. 48

Structure:
```
Sb4P3Pt7
1.0
7.790 -1.965 0.000
7.790 1.965 0.000
-7.012 0.000 9.234
Sb P Pt
4 3 7
Direct
0.150 0.150 0.361 Sb
0.288 0.288 0.917 Sb
0.712 0.712 0.083 Sb
0.850 0.850 0.639 Sb
0.000 0.000 0.000 P
0.383 0.383 0.389 P
0.617 0.617 0.611 P
0.000 0.000 0.500 Pt
0.099 0.099 0.889 Pt
0.428 0.428 0.845 Pt
0.487 0.487 0.659 Pt
0.513 0.513 0.341 Pt
0.572 0.572 0.155 Pt
0.901 0.901 0.111 Pt
```

This entry pairs a crystal structure of SrSb2P2Pt7 with its computed powder diffractogram. Radiation: λ = 1.5418 Å (Cu Kα). Structure: a GGA-PBE-relaxed structure.
Intensities are scaled so that the largest is 100.

Peak list (8 most intense, 10 to 90 degrees two-theta, in order of rising 2θ)
2θ = 29.8°, 2.995 Å, rel. 36
2θ = 32.3°, 2.773 Å, rel. 46
2θ = 34.0°, 2.640 Å, rel. 55
2θ = 36.6°, 2.456 Å, rel. 100
2θ = 45.5°, 1.995 Å, rel. 67
2θ = 48.7°, 1.870 Å, rel. 35
2θ = 55.3°, 1.660 Å, rel. 25
2θ = 66.3°, 1.411 Å, rel. 23

Structure:
```
SrSb2P2Pt7
1.0
2.822 -2.821 0.000
2.822 2.821 0.000
-2.816 0.000 14.977
Sr Sb P Pt
1 2 2 7
Direct
0.000 0.000 0.000 Sr
0.212 0.212 0.424 Sb
0.788 0.788 0.576 Sb
0.381 0.381 0.759 P
0.619 0.619 0.241 P
0.078 0.578 0.158 Pt
0.303 0.303 0.605 Pt
0.422 0.922 0.842 Pt
0.500 0.500 0.000 Pt
0.578 0.078 0.158 Pt
0.697 0.697 0.395 Pt
0.922 0.422 0.842 Pt
```